(1)
Li5VP2O9: theoretical powder XRD pattern (Cu Kα (λ = 1.5418 Å)), based on a cell relaxed with GGA+U.

Structure:
Cell: 9.3536 9.3536 7.9500 Å, 90.00 90.00 90.00°
Space group I4/mcm (No. 140)
One atom of each set of equivalent atoms:
Li 0.0000 0.2247 0.2500 x16
Li 0.0000 0.5000 0.2500 x4
V 0.0000 0.0000 0.0000 x4
P 0.2070 0.2930 0.0000 x8
O 0.0000 0.0000 0.2500 x4
O 0.1275 0.1813 0.5000 x16
O 0.1402 0.3598 0.1597 x16

Top 12 peaks for 2θ = 10–90°, by angle:
| 2θ (°) | Rel. int. | h k l |
| --- | --- | --- |
| 13.39 | 100 | 1 1 0 |
| 22.37 | 63 | 0 0 2 |
| 24.04 | 76 | 2 1 1 |
| 26.16 | 54 | 1 1 2 |
| 26.96 | 68 | 2 2 0 |
| 30.22 | 54 | 3 1 0 |
| 35.31 | 52 | 2 2 2 |
| 41.39 | 51 | 4 1 1 |
| 43.26 | 19 | 4 2 0 |
| 45.65 | 21 | 0 0 4 |
| 47.78 | 21 | 1 1 4 |
| 70.85 | 22 | 6 1 3 |

---

(2)
Li2VP2O8: theoretical powder XRD pattern (Cu Kα (λ = 1.5418 Å)), based on a cell relaxed with GGA+U.

Structure:
Cell: 8.3964 8.3964 7.3794 Å, 90.00 90.00 120.00°
Space group P-3 (No. 147)
One atom of each set of equivalent atoms:
Li 0.0313 0.6906 0.3632 x6
V 0.0000 0.0000 0.0000 x1
V 0.3333 0.6667 0.0747 x2
P 0.0395 0.6906 0.7803 x6
O 0.0644 0.2053 0.1600 x6
O 0.1144 0.5167 0.2384 x6
O 0.1383 0.7682 0.6016 x6
O 0.1809 0.7178 0.9281 x6

Top 12 peaks for 2θ = 10–90°, by angle:
| 2θ (°) | Rel. int. | h k l |
| --- | --- | --- |
| 11.99 | 64 | 0 0 1 |
| 24.39 | 100 | 2 -1 1 |
| 27.35 | 12 | 2 0 1 |
| 32.30 | 27 | 2 -1 2 |
| 32.58 | 8 | 2 1 0 |
| 37.09 | 9 | 3 0 0 |
| 39.12 | 15 | 0 3 1 |
| 40.95 | 12 | 3 -2 2 |
| 49.75 | 10 | 3 -2 3 |
| 49.99 | 7 | 4 -2 2 |
| 63.86 | 6 | 5 -4 2 |
| 68.99 | 6 | 3 1 4 |

---

(3)
LiV2P5O16: theoretical powder XRD pattern (Cu Kα (λ = 1.5418 Å)), based on a cell relaxed with GGA+U.

Structure:
Cell: 7.5903 9.5164 10.3632 Å, 90.00 111.55 90.00°
Space group Pc (No. 7)
One atom of each set of equivalent atoms:
Li 0.0000 0.1977 0.0000 x2
V 0.3785 0.1425 0.7845 x2
V 0.9278 0.3696 0.3896 x2
P 0.1251 0.4179 0.7273 x2
P 0.2778 0.1259 0.4493 x2
P 0.5168 0.4594 0.7596 x2
P 0.5727 0.2928 0.1235 x2
P 0.6156 0.1384 0.3803 x2
O 0.0180 0.4658 0.8174 x2
O 0.0450 0.4643 0.5772 x2
O 0.1532 0.2550 0.4038 x2
O 0.1535 0.2585 0.7473 x2
O 0.2269 0.0127 0.3378 x2
O 0.2945 0.0659 0.5912 x2
O 0.3333 0.4955 0.7942 x2
O 0.4777 0.2292 0.9840 x2
O 0.4855 0.4487 0.1198 x2
O 0.4929 0.1802 0.4691 x2
O 0.4978 0.2125 0.2318 x2
O 0.5191 0.3061 0.7270 x2
O 0.6162 0.0194 0.8571 x2
O 0.6867 0.4802 0.3740 x2
O 0.7864 0.2958 0.1829 x2
O 0.8090 0.2006 0.4481 x2

Top 12 peaks for 2θ = 10–90°, by angle:
| 2θ (°) | Rel. int. | h k l |
| --- | --- | --- |
| 12.54 | 45 | 1 0 0 |
| 13.07 | 22 | 0 1 1 |
| 15.62 | 100 | 1 1 -1 |
| 18.41 | 30 | 0 0 2 |
| 20.66 | 14 | 0 1 2 |
| 22.53 | 16 | 1 2 -1 |
| 26.09 | 12 | 1 2 -2 |
| 26.94 | 18 | 2 1 0 |
| 27.59 | 11 | 1 1 2 |
| 29.34 | 26 | 0 1 3 |
| 30.12 | 22 | 2 2 -1 |
| 35.52 | 11 | 2 2 -3 |

---

(4)
LiVP2O7: theoretical powder XRD pattern (Cu Kα (λ = 1.5418 Å)), based on a cell relaxed with GGA+U.

Structure:
Cell: 6.2137 6.4717 7.9867 Å, 97.31 105.05 112.87°
Space group P-1 (No. 2)
One atom of each set of equivalent atoms:
Li 0.0000 0.0000 0.0000 x1
Li 0.0000 0.0000 0.5000 x1
V 0.3892 0.6896 0.2312 x2
P 0.1745 0.4491 0.7803 x2
P 0.4330 0.2226 0.3131 x2
O 0.1043 0.6573 0.3109 x2
O 0.2576 0.2516 0.7692 x2
O 0.2642 0.6075 0.9650 x2
O 0.2720 0.3252 0.2068 x2
O 0.2807 0.6013 0.6492 x2
O 0.3812 0.9940 0.1920 x2
O 0.4000 0.2010 0.4945 x2

Top 12 peaks for 2θ = 10–90°, by angle:
| 2θ (°) | Rel. int. | h k l |
| --- | --- | --- |
| 15.37 | 71 | 0 1 0 |
| 16.45 | 78 | 1 0 0 |
| 16.73 | 17 | 1 0 -1 |
| 16.86 | 34 | 0 1 -1 |
| 21.60 | 18 | 1 -1 1 |
| 23.87 | 100 | 0 0 2 |
| 27.95 | 52 | 1 -2 0 |
| 29.26 | 26 | 1 1 -2 |
| 30.25 | 20 | 0 2 -1 |
| 31.25 | 47 | 2 0 -1 |
| 31.75 | 16 | 0 1 2 |
| 34.11 | 18 | 2 -2 0 |

---

Repeat the first record exactly.
Li5VP2O9: theoretical powder XRD pattern (Cu Kα (λ = 1.5418 Å)), based on a cell relaxed with GGA+U.

Structure:
Cell: 9.3536 9.3536 7.9500 Å, 90.00 90.00 90.00°
Space group I4/mcm (No. 140)
One atom of each set of equivalent atoms:
Li 0.0000 0.2247 0.2500 x16
Li 0.0000 0.5000 0.2500 x4
V 0.0000 0.0000 0.0000 x4
P 0.2070 0.2930 0.0000 x8
O 0.0000 0.0000 0.2500 x4
O 0.1275 0.1813 0.5000 x16
O 0.1402 0.3598 0.1597 x16

Top 12 peaks for 2θ = 10–90°, by angle:
| 2θ (°) | Rel. int. | h k l |
| --- | --- | --- |
| 13.39 | 100 | 1 1 0 |
| 22.37 | 63 | 0 0 2 |
| 24.04 | 76 | 2 1 1 |
| 26.16 | 54 | 1 1 2 |
| 26.96 | 68 | 2 2 0 |
| 30.22 | 54 | 3 1 0 |
| 35.31 | 52 | 2 2 2 |
| 41.39 | 51 | 4 1 1 |
| 43.26 | 19 | 4 2 0 |
| 45.65 | 21 | 0 0 4 |
| 47.78 | 21 | 1 1 4 |
| 70.85 | 22 | 6 1 3 |